[1]
Starting from a GGA-PBE-relaxed structure, the powder XRD pattern of TbErSO2 was computed for λ = 1.5418 Å (Cu Kα).

Peak list (12 most intense, 2θ from 15° to 90°, low angle first)
d (Å)  Rel. int.  index
3.278  43  0 0 2
2.929  100  1 0 1
2.317  30  0 1 2
1.890  30  1 1 0
1.819  25  1 0 3
1.638  21  1 1 2
1.588  17  0 2 1
1.466  15  0 1 4
1.430  9  1 1 3
1.311  8  0 2 3
1.216  14  2 1 1
1.158  11  2 0 4

Crystal structure
```
TbErSO2
1.0
3.7800 0.0000 0.0000
-1.8900 3.2736 0.0000
0.0000 0.0000 6.5623
Tb Er S O
1 1 1 2
Direct
0.0000 0.0000 0.0000
0.6667 0.3333 0.4356
0.3333 0.6667 0.7158
0.0000 0.0000 0.3510
0.6667 0.3333 0.0919
```


[2]
Starting from a GGA-PBE-relaxed structure, the powder XRD pattern of Er2ZnTe2S2O14 was computed for λ = 1.5418 Å (Cu Kα).

Peak list (12 most intense, 2θ from 15° to 90°, low angle first)
d (Å)  Rel. int.  index
4.698  38  1 0 1
3.821  43  0 1 2
3.587  88  1 0 -1
3.548  75  1 1 2
3.446  100  0 2 0
3.284  53  1 0 2
3.193  41  1 2 1
2.900  77  -1 2 1
2.515  68  1 0 -2
2.490  44  2 0 0
2.363  33  1 3 2
2.103  35  2 1 3

Crystal structure
```
Er2ZnTe2S2O14
1.0
5.2009 0.0000 0.0000
0.6466 7.6792 0.0000
2.2762 3.3705 6.8622
Er Zn Te S O
2 1 2 2 14
Direct
0.0720 0.2533 0.0161
0.9280 0.7467 0.9839
0.0000 0.0000 0.5000
0.4929 0.7295 0.6547
0.5071 0.2705 0.3453
0.2493 0.7483 0.2529
0.7507 0.2517 0.7471
0.1208 0.5825 0.2548
0.1386 0.7609 0.4392
0.1838 0.9228 0.0876
0.2467 0.5610 0.8923
0.2598 0.9353 0.6650
0.2741 0.1954 0.2419
0.4576 0.2722 0.7788
0.5424 0.7278 0.2212
0.7259 0.8046 0.7581
0.7402 0.0647 0.3350
0.7533 0.4390 0.1077
0.8162 0.0772 0.9124
0.8614 0.2391 0.5608
0.8792 0.4175 0.7452
```